Entry 1:
Starting from the PBE geometry in OQMD, the powder XRD pattern of Hf3Ge was calculated for a wavelength of 1.5418 Å.

Structural model:
Cell lengths 10.965, 10.965, 5.421 Å; angles 90.00, 90.00, 90.00 degrees
Space group P4_2/n (No. 86, origin choice 2)
Inequivalent atoms, fractional coordinates:
Hf1 0.034 0.569 0.246 (multiplicity 8)
Hf2 0.109 0.223 0.028 (multiplicity 8)
Hf3 0.143 0.668 0.725 (multiplicity 8)
Ge1 0.046 0.209 0.535 (multiplicity 8)

Most intense lines, 10 to 90 degrees two-theta, sorted by position:
two_theta	d_spacing	Rel. int.
30.6	2.921	28
33.8	2.652	100
34.7	2.585	38
35.1	2.559	61
36.7	2.450	61
37.7	2.388	80
40.6	2.221	27
42.0	2.150	24
42.3	2.135	28
69.9	1.346	21

***

Entry 2:
Starting from the PBE geometry in OQMD, the powder XRD pattern of LuTlFeIr was calculated for a wavelength of 1.5418 Å.

Structural model:
Cell lengths 6.622, 6.622, 6.622 Å; angles 90.00, 90.00, 90.00 degrees
Space group F-43m (No. 216)
Inequivalent atoms, fractional coordinates:
Lu1 0.000 0.000 0.000 (multiplicity 4)
Tl1 0.000 0.000 0.500 (multiplicity 4)
Fe1 0.250 0.250 0.750 (multiplicity 4)
Ir1 0.250 0.250 0.250 (multiplicity 4)

Most intense lines, 10 to 90 degrees two-theta, sorted by position:
two_theta	d_spacing	Rel. int.
23.3	3.823	11
26.9	3.311	5
38.5	2.341	100
45.4	1.997	6
55.5	1.655	17
61.0	1.519	3
62.8	1.481	2
69.5	1.352	35
82.4	1.171	11
87.1	1.119	2

***

Entry 3:
Starting from the PBE geometry in OQMD, the powder XRD pattern of Cu8Bi was calculated for a wavelength of 1.5418 Å.

Structural model:
Cell lengths 8.010, 3.576, 28.859 Å; angles 90.00, 90.00, 90.00 degrees
Space group C2/m (No. 12)
Inequivalent atoms, fractional coordinates:
Cu1 0.048 0.000 0.404 (multiplicity 4)
Cu2 0.050 0.500 0.541 (multiplicity 4)
Cu3 0.052 0.000 0.680 (multiplicity 4)
Cu4 0.146 0.500 0.348 (multiplicity 4)
Cu5 0.151 0.000 0.487 (multiplicity 4)
Cu6 0.151 0.500 0.624 (multiplicity 4)
Cu7 0.247 0.500 0.707 (multiplicity 4)
Cu8 0.249 0.500 0.431 (multiplicity 4)
Bi1 0.052 0.500 0.247 (multiplicity 4)

Most intense lines, 10 to 90 degrees two-theta, sorted by position:
two_theta	d_spacing	Rel. int.
12.3	7.215	42
28.0	3.185	40
30.0	2.975	37
37.1	2.421	38
41.8	2.162	100
43.3	2.088	96
44.2	2.051	78
44.3	2.045	66
50.7	1.801	39
51.1	1.788	36